The following is a computed X-ray diffraction stick pattern of MgMo3Se2S4. It was derived from a GGA-PBE-relaxed structure, using Cu Kα X-rays.

Structural model:
a = 3.2275 Å, b = 3.2276 Å, c = 29.6833 Å
α = 90.00°, β = 90.00°, γ = 60.00°
Space group P1 (No. 1)
One atom of each set of equivalent atoms:
Mg1 0.0000 0.0000 0.0000 (multiplicity 1)
Mo1 0.5173 0.7619 0.4965 (multiplicity 1)
Mo2 0.8506 0.0952 0.2651 (multiplicity 1)
Mo3 0.8506 0.0952 0.7279 (multiplicity 1)
Se1 0.8507 0.0952 0.4389 (multiplicity 1)
Se2 0.8506 0.0952 0.5540 (multiplicity 1)
S1 0.5172 0.7619 0.2129 (multiplicity 1)
S2 0.5172 0.7619 0.3173 (multiplicity 1)
S3 0.5172 0.7619 0.6755 (multiplicity 1)
S4 0.5172 0.7619 0.7801 (multiplicity 1)

Main lines, sorted by position (2θ = 5–70°):
2θ = 6.0°, I = 13, (0 0 2); 2θ = 11.9°, I = 100, (0 0 4); 2θ = 14.9°, I = 9, (0 0 5); 2θ = 32.0°, I = 24, (0 1 0); 2θ = 34.3°, I = 13, (0 1 -4); 2θ = 36.9°, I = 30, (0 1 -6); 2θ = 38.6°, I = 43, (1 0 -7); 2θ = 44.5°, I = 16, (0 1 -10); 2θ = 46.8°, I = 31, (1 0 -11); 2θ = 57.1°, I = 16, (1 2 0)

***

The following is a computed X-ray diffraction stick pattern of MgMo2Se2S2. It was derived from a GGA-PBE-relaxed structure, using Cu Kα X-rays.

Structural model:
a = 3.2690 Å, b = 3.2690 Å, c = 17.8716 Å
α = 89.61°, β = 89.60°, γ = 60.04°
Space group P1 (No. 1)
One atom of each set of equivalent atoms:
Mg1 0.0000 0.0000 0.0000 (multiplicity 1)
Mo1 0.3236 0.3284 0.2589 (multiplicity 1)
Mo2 0.6537 0.6623 0.7605 (multiplicity 1)
Se1 0.9875 0.9925 0.3535 (multiplicity 1)
Se2 0.9928 0.9973 0.1638 (multiplicity 1)
S1 0.9848 0.9935 0.8462 (multiplicity 1)
S2 0.9894 0.9978 0.6750 (multiplicity 1)

Main lines, sorted by position (2θ = 5–70°):
2θ = 9.9°, I = 100, (0 0 2); 2θ = 31.6°, I = 7, (1 1 0); 2θ = 32.0°, I = 19, (1 1 1); 2θ = 35.0°, I = 7, (0 1 3); 2θ = 35.2°, I = 6, (1 1 -3); 2θ = 37.5°, I = 8, (1 1 4); 2θ = 37.7°, I = 9, (1 0 -4); 2θ = 44.0°, I = 12, (1 1 6); 2θ = 44.2°, I = 8, (1 0 -6); 2θ = 56.3°, I = 10, (1 2 0)

***

The following is a computed X-ray diffraction stick pattern of MgMo3Se4S2. It was derived from a GGA-PBE-relaxed structure, using Cu Kα X-rays.

Structural model:
a = 5.6865 Å, b = 3.2829 Å, c = 36.4407 Å
α = 90.00°, β = 90.08°, γ = 90.00°
Space group Cm (No. 8)
One atom of each set of equivalent atoms:
Mg1 0.0000 0.0000 0.0000 (multiplicity 2)
Mo1 0.1674 0.5000 0.8876 (multiplicity 2)
Mo2 0.3338 0.0000 0.1328 (multiplicity 2)
Mo3 0.3338 0.0000 0.6626 (multiplicity 2)
Se1 0.1666 0.5000 0.0862 (multiplicity 2)
Se2 0.1666 0.5000 0.6163 (multiplicity 2)
Se3 0.1677 0.5000 0.1791 (multiplicity 2)
Se4 0.1676 0.5000 0.7090 (multiplicity 2)
S1 0.3339 0.0000 0.8459 (multiplicity 2)
S2 0.3344 0.0000 0.9301 (multiplicity 2)

Main lines, sorted by position (2θ = 5–70°):
2θ = 9.7°, I = 100, (0 0 4); 2θ = 12.1°, I = 14, (0 0 5); 2θ = 31.5°, I = 14, (2 0 0); 2θ = 33.0°, I = 11, (2 0 -4); 2θ = 34.8°, I = 12, (2 0 6); 2θ = 36.0°, I = 12, (1 1 7); 2θ = 40.2°, I = 16, (2 0 10); 2θ = 41.9°, I = 26, (2 0 11); 2θ = 49.3°, I = 7, (1 1 -15); 2θ = 56.0°, I = 13, (3 1 0)

***

The following is a computed X-ray diffraction stick pattern of MgMo3Se4S2. It was derived from a GGA-PBE-relaxed structure, using Cu Kα X-rays.

Structural model:
a = 3.2832 Å, b = 3.2832 Å, c = 36.1776 Å
α = 90.00°, β = 90.00°, γ = 120.00°
Space group P3m1 (No. 156)
One atom of each set of equivalent atoms:
Mg1 0.0000 0.0000 0.0000 (multiplicity 1)
Mo1 0.0000 0.0000 0.8818 (multiplicity 1)
Mo2 0.6667 0.3333 0.1281 (multiplicity 1)
Mo3 0.6667 0.3333 0.6597 (multiplicity 1)
Se1 0.0000 0.0000 0.0812 (multiplicity 1)
Se2 0.0000 0.0000 0.1748 (multiplicity 1)
Se3 0.0000 0.0000 0.6131 (multiplicity 1)
Se4 0.0000 0.0000 0.7063 (multiplicity 1)
S1 0.6667 0.3333 0.8397 (multiplicity 1)
S2 0.6667 0.3333 0.9242 (multiplicity 1)

Main lines, sorted by position (2θ = 5–70°):
2θ = 9.8°, I = 100, (0 0 4); 2θ = 12.2°, I = 15, (0 0 5); 2θ = 31.5°, I = 22, (1 0 0); 2θ = 33.0°, I = 8, (1 0 4); 2θ = 34.9°, I = 12, (0 1 6); 2θ = 36.1°, I = 14, (0 1 7); 2θ = 40.3°, I = 17, (1 0 10); 2θ = 42.0°, I = 28, (1 0 11); 2θ = 45.6°, I = 9, (0 1 13); 2θ = 56.0°, I = 14, (1 1 0)

***

The following is a computed X-ray diffraction stick pattern of MgMo3Se2S4. It was derived from a GGA-PBE-relaxed structure, using Cu Kα X-rays.

Structural model:
a = 3.2328 Å, b = 3.2328 Å, c = 36.6127 Å
α = 90.00°, β = 90.00°, γ = 120.00°
Space group P3m1 (No. 156)
One atom of each set of equivalent atoms:
Mg1 0.0000 0.0000 0.0000 (multiplicity 1)
Mo1 0.0000 0.0000 0.3523 (multiplicity 1)
Mo2 0.0000 0.0000 0.8791 (multiplicity 1)
Mo3 0.3333 0.6667 0.1267 (multiplicity 1)
Se1 0.0000 0.0000 0.0798 (multiplicity 1)
Se2 0.0000 0.0000 0.1733 (multiplicity 1)
S1 0.3333 0.6667 0.3100 (multiplicity 1)
S2 0.3333 0.6667 0.3947 (multiplicity 1)
S3 0.3333 0.6667 0.8369 (multiplicity 1)
S4 0.3333 0.6667 0.9219 (multiplicity 1)

Main lines, sorted by position (2θ = 5–70°):
2θ = 7.2°, I = 14, (0 0 3); 2θ = 9.7°, I = 100, (0 0 4); 2θ = 12.1°, I = 15, (0 0 5); 2θ = 32.0°, I = 20, (1 0 0); 2θ = 33.5°, I = 8, (0 1 4); 2θ = 35.3°, I = 14, (1 0 6); 2θ = 36.4°, I = 10, (1 0 7); 2θ = 40.6°, I = 18, (0 1 10); 2θ = 42.2°, I = 21, (0 1 11); 2θ = 57.0°, I = 12, (1 1 0)

***

The following is a computed X-ray diffraction stick pattern of MgMo3Se2S4. It was derived from a GGA-PBE-relaxed structure, using Cu Kα X-rays.

Structural model:
a = 3.2366 Å, b = 3.2366 Å, c = 36.4009 Å
α = 90.00°, β = 90.00°, γ = 120.00°
Space group P3m1 (No. 156)
One atom of each set of equivalent atoms:
Mg1 0.0000 0.0000 0.0000 (multiplicity 1)
Mo1 0.3333 0.6667 0.3542 (multiplicity 1)
Mo2 0.3333 0.6667 0.8838 (multiplicity 1)
Mo3 0.6667 0.3333 0.1308 (multiplicity 1)
Se1 0.3333 0.6667 0.0836 (multiplicity 1)
Se2 0.3333 0.6667 0.1776 (multiplicity 1)
S1 0.6667 0.3333 0.3116 (multiplicity 1)
S2 0.6667 0.3333 0.3968 (multiplicity 1)
S3 0.6667 0.3333 0.8415 (multiplicity 1)
S4 0.6667 0.3333 0.9267 (multiplicity 1)

Main lines, sorted by position (2θ = 5–70°):
2θ = 7.3°, I = 12, (0 0 3); 2θ = 9.7°, I = 100, (0 0 4); 2θ = 12.2°, I = 17, (0 0 5); 2θ = 32.0°, I = 15, (1 0 0); 2θ = 33.5°, I = 13, (0 1 4); 2θ = 35.3°, I = 13, (0 1 6); 2θ = 36.4°, I = 13, (0 1 7); 2θ = 40.6°, I = 17, (1 0 10); 2θ = 42.3°, I = 23, (1 0 11); 2θ = 56.9°, I = 13, (1 1 0)

***

The following is a computed X-ray diffraction stick pattern of MgMo3Se2S4. It was derived from a GGA-PBE-relaxed structure, using Cu Kα X-rays.

Structural model:
a = 3.2420 Å, b = 3.2420 Å, c = 36.5073 Å
α = 90.00°, β = 90.00°, γ = 120.00°
Space group P3m1 (No. 156)
One atom of each set of equivalent atoms:
Mg1 0.0000 0.0000 0.0000 (multiplicity 1)
Mo1 0.0000 0.0000 0.1325 (multiplicity 1)
Mo2 0.6667 0.3333 0.3525 (multiplicity 1)
Mo3 0.6667 0.3333 0.8834 (multiplicity 1)
Se1 0.6667 0.3333 0.0856 (multiplicity 1)
Se2 0.6667 0.3333 0.1792 (multiplicity 1)
S1 0.0000 0.0000 0.3101 (multiplicity 1)
S2 0.0000 0.0000 0.3949 (multiplicity 1)
S3 0.0000 0.0000 0.8413 (multiplicity 1)
S4 0.0000 0.0000 0.9257 (multiplicity 1)

Main lines, sorted by position (2θ = 5–70°):
2θ = 7.3°, I = 12, (0 0 3); 2θ = 9.7°, I = 100, (0 0 4); 2θ = 12.1°, I = 17, (0 0 5); 2θ = 31.9°, I = 13, (1 0 0); 2θ = 33.4°, I = 10, (0 1 4); 2θ = 35.2°, I = 13, (1 0 6); 2θ = 36.3°, I = 15, (1 0 7); 2θ = 40.5°, I = 15, (0 1 10); 2θ = 42.2°, I = 20, (0 1 11); 2θ = 56.8°, I = 13, (1 1 0)

***

The following is a computed X-ray diffraction stick pattern of MgMo3Se4S2. It was derived from a GGA-PBE-relaxed structure, using Cu Kα X-rays.

Structural model:
a = 3.2754 Å, b = 3.2754 Å, c = 30.2479 Å
α = 90.00°, β = 90.00°, γ = 120.00°
Space group P3m1 (No. 156)
One atom of each set of equivalent atoms:
Mg1 0.0000 0.0000 0.0000 (multiplicity 1)
Mo1 0.3333 0.6667 0.2696 (multiplicity 1)
Mo2 0.3333 0.6667 0.7324 (multiplicity 1)
Mo3 0.6667 0.3333 0.5010 (multiplicity 1)
Se1 0.6667 0.3333 0.2137 (multiplicity 1)
Se2 0.6667 0.3333 0.3256 (multiplicity 1)
Se3 0.6667 0.3333 0.6764 (multiplicity 1)
Se4 0.6667 0.3333 0.7882 (multiplicity 1)
S1 0.3333 0.6667 0.4503 (multiplicity 1)
S2 0.3333 0.6667 0.5517 (multiplicity 1)

Main lines, sorted by position (2θ = 5–70°):
2θ = 5.8°, I = 100, (0 0 2); 2θ = 11.7°, I = 54, (0 0 4); 2θ = 31.5°, I = 13, (1 0 0); 2θ = 32.1°, I = 6, (1 0 2); 2θ = 36.3°, I = 18, (1 0 6); 2θ = 37.9°, I = 22, (0 1 7); 2θ = 41.7°, I = 6, (1 0 9); 2θ = 43.8°, I = 8, (1 0 10); 2θ = 46.0°, I = 19, (0 1 11); 2θ = 56.2°, I = 12, (1 1 0)

***

The following is a computed X-ray diffraction stick pattern of MgTe2Mo3Se2S2. It was derived from a GGA-PBE-relaxed structure, using Cu Kα X-rays.

Structural model:
a = 5.8170 Å, b = 3.3601 Å, c = 36.0787 Å
α = 90.00°, β = 90.35°, γ = 90.00°
Space group Cm (No. 8)
One atom of each set of equivalent atoms:
Mg1 0.0000 0.0000 0.0000 (multiplicity 2)
Te1 0.0010 0.0000 0.4029 (multiplicity 2)
Te2 0.4972 0.5000 0.2982 (multiplicity 2)
Mo1 0.1657 0.5000 0.3505 (multiplicity 2)
Mo2 0.1659 0.5000 0.8839 (multiplicity 2)
Mo3 0.4970 0.5000 0.1276 (multiplicity 2)
Se1 0.1617 0.5000 0.0811 (multiplicity 2)
Se2 0.1655 0.5000 0.1736 (multiplicity 2)
S1 0.0008 0.0000 0.9257 (multiplicity 2)
S2 0.4979 0.5000 0.8423 (multiplicity 2)

Main lines, sorted by position (2θ = 5–70°):
2θ = 9.8°, I = 100, (0 0 4); 2θ = 12.3°, I = 14, (0 0 5); 2θ = 30.8°, I = 29, (2 0 0); 2θ = 35.4°, I = 13, (2 0 -7); 2θ = 35.5°, I = 16, (1 1 7); 2θ = 39.7°, I = 13, (1 1 -10); 2θ = 39.9°, I = 9, (2 0 10); 2θ = 41.4°, I = 18, (1 1 -11); 2θ = 41.6°, I = 18, (2 0 11); 2θ = 54.7°, I = 20, (3 1 0)

***

The following is a computed X-ray diffraction stick pattern of MgTe4Mo4Se2S2. It was derived from a GGA-PBE-relaxed structure, using Cu Kα X-rays.

Structural model:
a = 5.8924 Å, b = 3.4018 Å, c = 44.8576 Å
α = 90.00°, β = 90.03°, γ = 90.00°
Space group Cm (No. 8)
One atom of each set of equivalent atoms:
Mg1 0.0000 0.0000 0.0000 (multiplicity 2)
Te1 0.3332 0.0000 0.0694 (multiplicity 2)
Te2 0.3335 0.0000 0.1531 (multiplicity 2)
Te3 0.3333 0.0000 0.6870 (multiplicity 2)
Te4 0.3337 0.0000 0.7705 (multiplicity 2)
Mo1 0.1666 0.5000 0.1114 (multiplicity 2)
Mo2 0.1668 0.5000 0.7287 (multiplicity 2)
Mo3 0.3332 0.0000 0.2928 (multiplicity 2)
Mo4 0.3334 0.0000 0.9092 (multiplicity 2)
Se1 0.1664 0.5000 0.2560 (multiplicity 2)
Se2 0.1666 0.5000 0.3295 (multiplicity 2)
S1 0.1666 0.5000 0.8760 (multiplicity 2)
S2 0.1668 0.5000 0.9430 (multiplicity 2)

Main lines, sorted by position (2θ = 5–70°):
2θ = 5.9°, I = 47, (0 0 3); 2θ = 9.9°, I = 100, (0 0 5); 2θ = 11.8°, I = 12, (0 0 6); 2θ = 30.4°, I = 30, (2 0 0); 2θ = 32.0°, I = 12, (1 1 -5); 2θ = 34.4°, I = 37, (2 0 8); 2θ = 36.5°, I = 20, (1 1 10); 2θ = 40.3°, I = 49, (2 0 13); 2θ = 43.1°, I = 13, (1 1 -15); 2θ = 53.9°, I = 21, (3 1 0)

***

The following is a computed X-ray diffraction stick pattern of MgTe4Mo4Se2S2. It was derived from a GGA-PBE-relaxed structure, using Cu Kα X-rays.

Structural model:
a = 3.3929 Å, b = 3.3929 Å, c = 46.5844 Å
α = 90.00°, β = 90.00°, γ = 120.00°
Space group P3m1 (No. 156)
One atom of each set of equivalent atoms:
Mg1 0.0000 0.0000 0.0000 (multiplicity 1)
Te1 0.3333 0.6667 0.0652 (multiplicity 1)
Te2 0.3333 0.6667 0.1460 (multiplicity 1)
Te3 0.3333 0.6667 0.4336 (multiplicity 1)
Te4 0.3333 0.6667 0.5140 (multiplicity 1)
Mo1 0.3333 0.6667 0.2861 (multiplicity 1)
Mo2 0.3333 0.6667 0.9017 (multiplicity 1)
Mo3 0.6667 0.3333 0.1057 (multiplicity 1)
Mo4 0.6667 0.3333 0.4738 (multiplicity 1)
Se1 0.6667 0.3333 0.8664 (multiplicity 1)
Se2 0.6667 0.3333 0.9374 (multiplicity 1)
S1 0.6667 0.3333 0.2539 (multiplicity 1)
S2 0.6667 0.3333 0.3184 (multiplicity 1)

Main lines, sorted by position (2θ = 5–70°):
2θ = 5.7°, I = 76, (0 0 3); 2θ = 9.5°, I = 100, (0 0 5); 2θ = 11.4°, I = 14, (0 0 6); 2θ = 30.4°, I = 26, (1 0 0); 2θ = 31.9°, I = 11, (0 1 5); 2θ = 34.2°, I = 27, (0 1 8); 2θ = 37.2°, I = 20, (1 0 11); 2θ = 39.7°, I = 39, (1 0 13); 2θ = 41.0°, I = 12, (0 1 14); 2θ = 54.1°, I = 17, (1 1 0)

***

The following is a computed X-ray diffraction stick pattern of MgTe4Mo4Se2S2. It was derived from a GGA-PBE-relaxed structure, using Cu Kα X-rays.

Structural model:
a = 3.3901 Å, b = 3.3902 Å, c = 38.5039 Å
α = 90.00°, β = 90.00°, γ = 120.00°
Space group P1 (No. 1)
One atom of each set of equivalent atoms:
Mg1 0.0000 0.0000 0.0000 (multiplicity 1)
Te1 0.3295 0.6919 0.7312 (multiplicity 1)
Te2 0.3296 0.6920 0.8287 (multiplicity 1)
Te3 0.9962 0.0254 0.1676 (multiplicity 1)
Te4 0.9962 0.0253 0.2651 (multiplicity 1)
Mo1 0.3295 0.6919 0.5921 (multiplicity 1)
Mo2 0.3295 0.6920 0.2163 (multiplicity 1)
Mo3 0.9963 0.0253 0.4043 (multiplicity 1)
Mo4 0.9963 0.0254 0.7800 (multiplicity 1)
Se1 0.3296 0.6919 0.3615 (multiplicity 1)
Se2 0.3296 0.6919 0.4473 (multiplicity 1)
S1 0.9962 0.0252 0.5531 (multiplicity 1)
S2 0.9962 0.0253 0.6312 (multiplicity 1)

Main lines, sorted by position (2θ = 5–70°):
2θ = 6.9°, I = 46, (0 0 3); 2θ = 11.5°, I = 94, (0 0 5); 2θ = 30.5°, I = 60, (0 1 0); 2θ = 32.6°, I = 12, (0 1 5); 2θ = 35.8°, I = 100, (0 1 -8); 2θ = 38.6°, I = 25, (-1 1 10); 2θ = 43.4°, I = 54, (1 -1 13); 2θ = 45.2°, I = 15, (0 1 14); 2θ = 54.1°, I = 34, (1 1 0); 2θ = 66.6°, I = 16, (2 -2 8)

***

The following is a computed X-ray diffraction stick pattern of MgTe4Mo4Se2S2. It was derived from a GGA-PBE-relaxed structure, using Cu Kα X-rays.

Structural model:
a = 3.3906 Å, b = 3.3905 Å, c = 38.6474 Å
α = 90.00°, β = 90.00°, γ = 60.00°
Space group P1 (No. 1)
One atom of each set of equivalent atoms:
Mg1 0.0000 0.0000 0.0000 (multiplicity 1)
Te1 0.9861 0.9954 0.1758 (multiplicity 1)
Te2 0.9861 0.9954 0.2728 (multiplicity 1)
Te3 0.9861 0.9954 0.5514 (multiplicity 1)
Te4 0.9861 0.9954 0.6485 (multiplicity 1)
Mo1 0.3194 0.3287 0.2242 (multiplicity 1)
Mo2 0.3194 0.3287 0.6000 (multiplicity 1)
Mo3 0.9860 0.9953 0.4121 (multiplicity 1)
Mo4 0.9860 0.9953 0.7879 (multiplicity 1)
Se1 0.3194 0.3287 0.7451 (multiplicity 1)
Se2 0.3194 0.3287 0.8306 (multiplicity 1)
S1 0.3194 0.3287 0.3732 (multiplicity 1)
S2 0.3194 0.3287 0.4510 (multiplicity 1)

Main lines, sorted by position (2θ = 5–70°):
2θ = 6.9°, I = 51, (0 0 3); 2θ = 11.4°, I = 95, (0 0 5); 2θ = 30.5°, I = 61, (1 0 0); 2θ = 35.8°, I = 100, (1 0 8); 2θ = 38.5°, I = 18, (1 1 -10); 2θ = 40.0°, I = 16, (1 0 -11); 2θ = 43.3°, I = 54, (1 1 13); 2θ = 45.1°, I = 16, (1 1 -14); 2θ = 54.1°, I = 36, (2 1 0); 2θ = 66.6°, I = 16, (2 2 8)

***

The following is a computed X-ray diffraction stick pattern of MgTe2Mo3Se2S2. It was derived from a GGA-PBE-relaxed structure, using Cu Kα X-rays.

Structural model:
a = 5.8205 Å, b = 3.3604 Å, c = 35.3165 Å
α = 90.00°, β = 90.09°, γ = 90.00°
Space group Cm (No. 8)
One atom of each set of equivalent atoms:
Mg1 0.0000 0.0000 0.0000 (multiplicity 2)
Te1 0.3291 0.0000 0.3031 (multiplicity 2)
Te2 0.3304 0.0000 0.4101 (multiplicity 2)
Mo1 0.3305 0.0000 0.1292 (multiplicity 2)
Mo2 0.4964 0.5000 0.3566 (multiplicity 2)
Mo3 0.4978 0.5000 0.8869 (multiplicity 2)
Se1 0.4965 0.5000 0.0820 (multiplicity 2)
Se2 0.4978 0.5000 0.1762 (multiplicity 2)
S1 0.3309 0.0000 0.8444 (multiplicity 2)
S2 0.3314 0.0000 0.9301 (multiplicity 2)

Main lines, sorted by position (2θ = 5–70°):
2θ = 5.0°, I = 100, (0 0 2); 2θ = 10.0°, I = 81, (0 0 4); 2θ = 12.5°, I = 10, (0 0 5); 2θ = 30.7°, I = 18, (1 1 0); 2θ = 30.8°, I = 13, (2 0 1); 2θ = 34.4°, I = 19, (2 0 6); 2θ = 35.6°, I = 21, (1 1 7); 2θ = 40.2°, I = 22, (1 1 -10); 2θ = 41.9°, I = 33, (2 0 -11); 2θ = 54.6°, I = 15, (3 1 0)